The following is a calculated powder XRD pattern of CeTm2In9. It was derived from a GGA-PBE-relaxed structure, using Cu Ka.
Peak positions follow from Bragg's law for the DFT cell and can differ from measured ones.

Cell and atoms:
```
CeTm2In9
1.0
4.6490 0.0000 0.0000
0.0000 4.6490 0.0000
0.0000 0.0000 13.9337
Ce Tm In
1 2 9
direct
0.0000 0.0000 0.0000
0.0000 0.0000 0.3362
0.0000 0.0000 0.6638
0.0000 0.5000 0.1704
0.0000 0.5000 0.5000
0.0000 0.5000 0.8296
0.5000 0.0000 0.1704
0.5000 0.0000 0.5000
0.5000 0.0000 0.8296
0.5000 0.5000 0.0000
0.5000 0.5000 0.3338
0.5000 0.5000 0.6662
```

Largest 10 diffraction maxima, by angle, 10° ≤ 2θ ≤ 80°:
two_theta	intensity	(hkl)
19.10	2	0 0 3
27.13	2	1 1 0
33.39	100	1 1 3
38.75	50	2 0 0
43.54	1	2 0 3
47.95	1	1 1 6
55.96	33	2 2 0
59.69	1	0 0 9
66.76	39	3 1 3
70.15	11	2 2 6